For Mg2Al2O5, DFT lattice parameters and positions (PBE) gives the simulated powder diffractogram in this record (λ = 1.5418 Å (Cu Kα)).

a = 3.601 Å, b = 3.601 Å, c = 7.010 Å
α = 90.00°, β = 90.00°, γ = 90.00°
Sites, in units of the cell vectors:
Mg  0.000  0.000  0.000
Mg  0.000  0.000  0.500
Al  0.500  0.500  0.244
Al  0.500  0.500  0.756
O  0.000  0.500  0.196
O  0.000  0.500  0.804
O  0.500  0.000  0.196
O  0.500  0.000  0.804
O  0.500  0.500  0.500

Main lines, in order of falling intensity (2θ = 10–90°):
two_theta, I/Imax, index
35.7, 100, 1 0 2
50.7, 72, 2 0 0
63.6, 38, 2 1 2
43.9, 27, 1 1 2
64.6, 24, 1 1 4
75.7, 21, 2 0 4